Record 1
# PmNb2Ru2
Theoretical XRD peak list, Cu Ka. Input: DFT lattice parameters and positions (GGA-PBE).
Kinematic intensities with the Lorentz-polarization factor, no thermal factor.

Cell and atoms:
a b c (Å): 6.174 6.174 6.174
angles (deg): 138.19 138.19 60.61
Fractional positions:
Pm 0.000 0.000 0.000
Nb 0.250 0.750 0.500
Nb 0.750 0.250 0.500
Ru 0.379 0.379 0.000
Ru 0.621 0.621 0.000

Largest 10 diffraction maxima, in order of falling intensity, 15 to 90 degrees two-theta:
2θ/deg  d_spacing  Rel. int.
33.31  2.690  100.0
32.37  2.766  71.4
40.97  2.203  68.9
53.15  1.723  34.6
47.37  1.919  29.1
64.38  1.447  22.9
59.32  1.558  22.7
69.76  1.348  22.7
44.75  2.025  22.1
85.08  1.140  16.1

=====

Record 2
# LiAc3Pt8
Theoretical XRD peak list, Cu Ka. Input: DFT lattice parameters and positions (GGA-PBE).
Kinematic intensities with the Lorentz-polarization factor, no thermal factor.

Cell and atoms:
a b c (Å): 9.661 9.661 9.661
angles (deg): 33.60 33.60 33.60
Fractional positions:
Li 0.000 0.000 0.000
Ac 0.129 0.129 0.129
Ac 0.517 0.517 0.517
Ac 0.646 0.646 0.646
Pt 0.078 0.078 0.578
Pt 0.078 0.578 0.078
Pt 0.079 0.576 0.576
Pt 0.328 0.328 0.328
Pt 0.576 0.079 0.576
Pt 0.576 0.576 0.079
Pt 0.578 0.078 0.078
Pt 0.827 0.827 0.827

Largest 10 diffraction maxima, in order of falling intensity, 15 to 90 degrees two-theta:
2θ/deg  d_spacing  Rel. int.
37.79  2.380  100.0
39.54  2.279  47.2
60.98  1.519  32.2
67.06  1.396  28.6
32.07  2.791  21.5
19.48  4.558  13.1
80.72  1.190  12.9
79.60  1.204  9.4
45.98  1.974  8.0
57.15  1.612  7.6

=====

Record 3
# Ho12Si5S28
Theoretical XRD peak list, Cu Ka. Input: DFT lattice parameters and positions (GGA-PBE).
Kinematic intensities with the Lorentz-polarization factor, no thermal factor.

Cell and atoms:
a b c (Å): 9.740 11.302 11.317
angles (deg): 61.15 64.54 64.50
Fractional positions:
Ho 0.000 0.000 0.000
Ho 0.001 0.519 0.461
Ho 0.263 0.986 0.447
Ho 0.274 0.475 0.963
Ho 0.353 0.709 0.159
Ho 0.355 0.177 0.673
Ho 0.484 0.044 0.044
Ho 0.497 0.566 0.511
Ho 0.766 0.434 0.925
Ho 0.789 0.943 0.401
Ho 0.902 0.823 0.761
Ho 0.912 0.283 0.286
Si 0.131 0.530 0.685
Si 0.465 0.245 0.307
Si 0.467 0.743 0.803
Si 0.798 0.171 0.724
Si 0.800 0.662 0.212
S 0.027 0.509 0.213
S 0.030 0.027 0.729
S 0.037 0.803 0.248
S 0.041 0.350 0.729
S 0.223 0.715 0.651
S 0.230 0.218 0.155
S 0.234 0.242 0.453
S 0.237 0.740 0.948
S 0.282 0.521 0.456
S 0.291 0.010 0.949
S 0.358 0.373 0.752
S 0.396 0.835 0.281
S 0.459 0.435 0.128
S 0.472 0.922 0.614
S 0.554 0.056 0.265
S 0.555 0.552 0.764
S 0.605 0.212 0.429
S 0.613 0.714 0.918
S 0.644 0.059 0.760
S 0.663 0.538 0.242
S 0.709 0.207 0.916
S 0.719 0.705 0.401
S 0.797 0.353 0.537
S 0.802 0.847 0.031
S 0.878 0.189 0.128
S 0.895 0.685 0.619
S 0.968 0.015 0.468
S 0.996 0.534 0.908

Largest 10 diffraction maxima, in order of falling intensity, 15 to 90 degrees two-theta:
2θ/deg  d_spacing  Rel. int.
26.20  3.401  100.0
41.68  2.167  36.9
21.07  4.217  33.4
36.92  2.435  32.0
18.67  4.753  31.6
38.48  2.339  28.7
37.86  2.376  28.0
23.94  3.717  27.9
42.32  2.136  26.3
27.99  3.188  20.6

=====

Record 4
# ZnHg2HF6
Theoretical XRD peak list, Cu Ka. Input: DFT lattice parameters and positions (GGA-PBE).
Kinematic intensities with the Lorentz-polarization factor, no thermal factor.

Cell and atoms:
a b c (Å): 4.848 6.200 10.167
angles (deg): 90.00 90.00 90.00
Fractional positions:
Zn 0.000 0.000 0.000
Zn 0.500 0.500 0.500
Hg 0.000 0.500 0.197
Hg 0.000 0.500 0.803
Hg 0.500 0.000 0.303
Hg 0.500 0.000 0.697
H 0.000 0.000 0.500
H 0.500 0.500 0.000
F 0.196 0.158 0.141
F 0.196 0.158 0.859
F 0.198 0.106 0.500
F 0.302 0.606 0.000
F 0.304 0.658 0.359
F 0.304 0.658 0.641
F 0.696 0.342 0.359
F 0.696 0.342 0.641
F 0.698 0.394 0.000
F 0.802 0.894 0.500
F 0.804 0.842 0.141
F 0.804 0.842 0.859

Largest 10 diffraction maxima, in order of falling intensity, 15 to 90 degrees two-theta:
2θ/deg  d_spacing  Rel. int.
29.25  3.054  100.0
23.29  3.819  49.4
28.80  3.100  33.4
48.45  1.879  33.3
30.05  2.974  32.9
20.29  4.376  31.9
17.44  5.084  24.6
32.23  2.778  22.5
57.43  1.605  21.4
51.30  1.781  20.5

=====

Record 5
# TmZrTlPt
Theoretical XRD peak list, Cu Ka. Input: DFT lattice parameters and positions (GGA-PBE).
Kinematic intensities with the Lorentz-polarization factor, no thermal factor.

Cell and atoms:
a b c (Å): 4.990 4.990 4.990
angles (deg): 60.00 60.00 60.00
Fractional positions:
Tm 0.000 0.000 0.000
Zr 0.500 0.500 0.500
Tl 0.250 0.250 0.250
Pt 0.750 0.750 0.750

Largest 10 diffraction maxima, in order of falling intensity, 15 to 90 degrees two-theta:
2θ/deg  d_spacing  Rel. int.
36.00  2.495  100.0
64.72  1.440  36.6
51.82  1.764  17.8
87.41  1.116  16.7
76.34  1.247  11.4
25.24  3.528  4.7
21.81  4.074  3.0
58.49  1.578  2.1
42.49  2.128  1.7
44.48  2.037  1.5

=====

Record 6
# AlCu2HgS4
Theoretical XRD peak list, Cu Ka. Input: DFT lattice parameters and positions (GGA-PBE).
Kinematic intensities with the Lorentz-polarization factor, no thermal factor.

Cell and atoms:
a b c (Å): 6.643 6.643 6.643
angles (deg): 131.16 131.16 71.55
Fractional positions:
Al 0.000 0.000 0.000
Cu 0.250 0.750 0.500
Cu 0.750 0.250 0.500
Hg 0.500 0.500 0.000
S 0.093 0.093 0.455
S 0.362 0.907 0.000
S 0.638 0.638 0.545
S 0.907 0.362 0.000

Largest 10 diffraction maxima, in order of falling intensity, 15 to 90 degrees two-theta:
2θ/deg  d_spacing  Rel. int.
28.33  3.151  100.0
18.13  4.893  45.8
47.26  1.923  37.6
55.60  1.653  28.9
37.56  2.395  22.0
29.71  3.007  20.5
46.78  1.942  19.3
56.43  1.630  15.6
76.25  1.249  13.9
32.61  2.746  13.0

=====

Record 7
# Sm4Ge6Rh7
Theoretical XRD peak list, Cu Ka. Input: DFT lattice parameters and positions (GGA-PBE).
Kinematic intensities with the Lorentz-polarization factor, no thermal factor.

Cell and atoms:
a b c (Å): 7.363 7.363 7.363
angles (deg): 109.47 109.47 109.47
Fractional positions:
Sm 0.000 0.000 0.500
Sm 0.000 0.500 0.000
Sm 0.500 0.000 0.000
Sm 0.500 0.500 0.500
Ge 0.000 0.325 0.325
Ge 0.000 0.675 0.675
Ge 0.325 0.000 0.325
Ge 0.325 0.325 0.000
Ge 0.675 0.000 0.675
Ge 0.675 0.675 0.000
Rh 0.000 0.000 0.000
Rh 0.250 0.500 0.750
Rh 0.250 0.750 0.500
Rh 0.500 0.250 0.750
Rh 0.500 0.750 0.250
Rh 0.750 0.250 0.500
Rh 0.750 0.500 0.250

Largest 10 diffraction maxima, in order of falling intensity, 15 to 90 degrees two-theta:
2θ/deg  d_spacing  Rel. int.
36.61  2.454  100.0
42.53  2.126  64.3
61.72  1.503  32.3
29.72  3.006  29.3
73.95  1.282  26.1
39.66  2.272  23.6
50.34  1.813  17.0
45.25  2.004  12.1
69.98  1.344  11.3
75.90  1.254  10.4

=====

Record 8
# RbSn2Cl7
Theoretical XRD peak list, Cu Ka. Input: DFT lattice parameters and positions (GGA-PBE).
Kinematic intensities with the Lorentz-polarization factor, no thermal factor.

Cell and atoms:
a b c (Å): 8.764 8.764 5.308
angles (deg): 90.00 90.00 92.15
Fractional positions:
Rb 0.000 0.000 0.000
Sn 0.282 0.282 0.500
Sn 0.718 0.718 0.500
Cl 0.005 0.289 0.500
Cl 0.289 0.005 0.500
Cl 0.292 0.292 0.000
Cl 0.500 0.500 0.500
Cl 0.708 0.708 0.000
Cl 0.711 0.995 0.500
Cl 0.995 0.711 0.500

Largest 10 diffraction maxima, in order of falling intensity, 15 to 90 degrees two-theta:
2θ/deg  d_spacing  Rel. int.
16.70  5.308  100.0
28.03  3.183  85.7
22.23  3.999  84.3
30.62  2.919  82.5
33.77  2.654  81.3
26.38  3.378  72.1
41.24  2.189  65.3
32.70  2.739  64.8
36.73  2.447  63.3
46.23  1.964  49.7

=====

Record 9
# Cu5Se4Cl2O12
Theoretical XRD peak list, Cu Ka. Input: DFT lattice parameters and positions (GGA-PBE).
Kinematic intensities with the Lorentz-polarization factor, no thermal factor.

Cell and atoms:
a b c (Å): 11.043 8.509 7.683
angles (deg): 90.00 90.99 90.00
Fractional positions:
Cu 0.000 0.000 0.000
Cu 0.000 0.500 0.500
Cu 0.130 0.138 0.669
Cu 0.130 0.362 0.169
Cu 0.359 0.509 0.920
Cu 0.359 0.991 0.420
Cu 0.641 0.009 0.580
Cu 0.641 0.491 0.080
Cu 0.870 0.638 0.831
Cu 0.870 0.862 0.331
Se 0.126 0.693 0.824
Se 0.126 0.807 0.324
Se 0.320 0.098 0.006
Se 0.320 0.402 0.506
Se 0.680 0.598 0.494
Se 0.680 0.902 0.994
Se 0.874 0.193 0.676
Se 0.874 0.307 0.176
Cl 0.464 0.612 0.156
Cl 0.464 0.888 0.656
Cl 0.536 0.112 0.344
Cl 0.536 0.388 0.844
O 0.001 0.729 0.444
O 0.001 0.771 0.944
O 0.022 0.545 0.750
O 0.022 0.955 0.250
O 0.201 0.030 0.877
O 0.201 0.470 0.377
O 0.202 0.601 0.992
O 0.202 0.899 0.492
O 0.277 0.213 0.566
O 0.277 0.287 0.066
O 0.287 0.516 0.686
O 0.287 0.984 0.186
O 0.713 0.016 0.814
O 0.713 0.484 0.314
O 0.723 0.713 0.934
O 0.723 0.787 0.434
O 0.798 0.101 0.508
O 0.798 0.399 0.008
O 0.799 0.530 0.623
O 0.799 0.970 0.123
O 0.978 0.045 0.750
O 0.978 0.455 0.250
O 0.999 0.229 0.056
O 0.999 0.271 0.556

Largest 10 diffraction maxima, in order of falling intensity, 15 to 90 degrees two-theta:
2θ/deg  d_spacing  Rel. int.
25.19  3.536  100.0
26.84  3.322  56.0
34.04  2.634  35.2
32.16  2.783  32.8
25.44  3.501  31.7
35.96  2.497  31.3
34.65  2.589  30.2
23.91  3.722  28.6
36.65  2.452  23.6
40.86  2.208  20.4

=====

Record 10
# NdSm4Zn
Theoretical XRD peak list, Cu Ka. Input: DFT lattice parameters and positions (GGA-PBE).
Kinematic intensities with the Lorentz-polarization factor, no thermal factor.

Cell and atoms:
a b c (Å): 3.647 3.647 13.928
angles (deg): 90.00 90.00 90.00
Fractional positions:
Nd 0.000 0.000 0.000
Sm 0.000 0.000 0.371
Sm 0.000 0.000 0.629
Sm 0.500 0.500 0.185
Sm 0.500 0.500 0.815
Zn 0.500 0.500 0.500

Largest 10 diffraction maxima, in order of falling intensity, 15 to 90 degrees two-theta:
2θ/deg  d_spacing  Rel. int.
31.19  2.868  100.0
34.79  2.579  47.2
60.14  1.539  30.6
27.61  3.230  17.9
50.03  1.823  16.8
48.08  1.892  15.7
58.77  1.571  13.9
32.13  2.786  12.0
80.74  1.190  11.2
53.08  1.725  10.3

=====

Record 11
# Yb6Zn
Theoretical XRD peak list, Cu Ka. Input: DFT lattice parameters and positions (GGA-PBE).
Kinematic intensities with the Lorentz-polarization factor, no thermal factor.

Cell and atoms:
a b c (Å): 9.116 9.116 9.116
angles (deg): 109.47 109.47 109.47
Fractional positions:
Yb 0.250 0.500 0.750
Yb 0.250 0.750 0.500
Yb 0.500 0.250 0.750
Yb 0.500 0.750 0.250
Yb 0.750 0.250 0.500
Yb 0.750 0.500 0.250
Zn 0.000 0.000 0.000

Largest 10 diffraction maxima, in order of falling intensity, 15 to 90 degrees two-theta:
2θ/deg  d_spacing  Rel. int.
20.67  4.297  100.0
29.39  3.039  74.3
31.81  2.813  68.5
34.07  2.632  50.2
16.85  5.263  40.1
48.95  1.861  36.5
58.13  1.587  33.3
53.68  1.708  23.5
47.30  1.922  22.8
26.78  3.329  22.5

=====

Record 12
# Pm3Sm2Ho4
Theoretical XRD peak list, Cu Ka. Input: DFT lattice parameters and positions (GGA-PBE).
Kinematic intensities with the Lorentz-polarization factor, no thermal factor.

Cell and atoms:
a b c (Å): 6.209 6.217 8.021
angles (deg): 75.14 82.54 80.52
Fractional positions:
Pm 0.000 0.000 0.000
Pm 0.111 0.557 0.777
Pm 0.889 0.443 0.223
Sm 0.333 0.668 0.333
Sm 0.667 0.332 0.667
Ho 0.225 0.110 0.554
Ho 0.446 0.222 0.112
Ho 0.554 0.778 0.888
Ho 0.775 0.890 0.446

Largest 10 diffraction maxima, in order of falling intensity, 15 to 90 degrees two-theta:
2θ/deg  d_spacing  Rel. int.
30.51  2.930  100.0
35.36  2.539  33.8
60.56  1.529  25.0
50.93  1.793  24.1
60.45  1.531  18.0
35.42  2.534  16.8
50.84  1.796  12.1
82.96  1.164  10.3
85.57  1.135  6.9
85.70  1.134  6.9